1.
Starting from DFT lattice parameters and positions (GGA-PBE), the XRD peak list of Na8Hg3 was computed for Cu Kα (λ = 1.5418 Å).
No peak broadening, texture or thermal motion is included.

Peak list (8 most intense, 2θ from 10° to 90°, in order of rising 2θ)
- d 4.474, 19.84 deg, rel. 45
- d 4.367, 20.33 deg, rel. 35
- d 4.090, 21.73 deg, rel. 100
- d 3.623, 24.57 deg, rel. 22
- d 2.788, 32.10 deg, rel. 34
- d 2.672, 33.53 deg, rel. 60
- d 2.464, 36.47 deg, rel. 28
- d 2.279, 39.54 deg, rel. 42

Cell and atoms:
Lattice parameters (Å, degrees): 18.2631 18.2631 18.2631 29.36 29.36 29.36
Element x y z (fractional)
Na1 0.0143 0.2913 0.6401
Na2 0.0618 0.0618 0.0618
Na3 0.1213 0.3633 0.8589
Na4 0.1367 0.3787 0.6411
Na5 0.1401 0.7913 0.5143
Na6 0.1411 0.8787 0.6367
Na7 0.2087 0.4857 0.8599
Na8 0.2199 0.2199 0.2199
Na9 0.2801 0.2801 0.2801
Na10 0.2913 0.6401 0.0143
Na11 0.3589 0.8633 0.6213
Na12 0.3599 0.9857 0.7087
Na13 0.3633 0.8589 0.1213
Na14 0.3787 0.6411 0.1367
Na15 0.4382 0.4382 0.4382
Na16 0.4857 0.8599 0.2087
Na17 0.5143 0.1401 0.7913
Na18 0.5618 0.5618 0.5618
Na19 0.6213 0.3589 0.8633
Na20 0.6367 0.1411 0.8787
Na21 0.6401 0.0143 0.2913
Na22 0.6411 0.1367 0.3787
Na23 0.7087 0.3599 0.9857
Na24 0.7199 0.7199 0.7199
Na25 0.7801 0.7801 0.7801
Na26 0.7913 0.5143 0.1401
Na27 0.8589 0.1213 0.3633
Na28 0.8599 0.2087 0.4857
Na29 0.8633 0.6213 0.3589
Na30 0.8787 0.6367 0.1411
Na31 0.9382 0.9382 0.9382
Na32 0.9857 0.7087 0.3599
Hg1 0.0000 0.0000 0.0000
Hg2 0.0658 0.7500 0.4342
Hg3 0.1581 0.1581 0.1581
Hg4 0.2500 0.5658 0.9342
Hg5 0.3419 0.3419 0.3419
Hg6 0.4342 0.0658 0.7500
Hg7 0.5000 0.5000 0.5000
Hg8 0.5658 0.9342 0.2500
Hg9 0.6581 0.6581 0.6581
Hg10 0.7500 0.4342 0.0658
Hg11 0.8419 0.8419 0.8419
Hg12 0.9342 0.2500 0.5658


2.
Starting from DFT lattice parameters and positions (GGA-PBE), the XRD peak list of Na3Hg8 was computed for Cu Kα (λ = 1.5418 Å).
No peak broadening, texture or thermal motion is included.

Peak list (8 most intense, 2θ from 10° to 90°, in order of rising 2θ)
- d 6.164, 14.37 deg, rel. 32
- d 4.307, 20.62 deg, rel. 49
- d 3.503, 25.43 deg, rel. 31
- d 2.743, 32.64 deg, rel. 100
- d 2.705, 33.12 deg, rel. 29
- d 2.346, 38.37 deg, rel. 22
- d 2.283, 39.47 deg, rel. 26
- d 2.275, 39.61 deg, rel. 54

Cell and atoms:
Lattice parameters (Å, degrees): 7.4032 7.4032 7.4032 108.81 108.81 108.81
Element x y z (fractional)
Na1 0.0000 0.5000 0.5000
Na2 0.5000 0.0000 0.5000
Na3 0.5000 0.5000 0.0000
Hg1 0.0121 0.8427 0.3196
Hg2 0.1573 0.6804 0.9879
Hg3 0.2932 0.2932 0.2932
Hg4 0.3196 0.0121 0.8427
Hg5 0.6804 0.9879 0.1573
Hg6 0.7068 0.7068 0.7068
Hg7 0.8427 0.3196 0.0121
Hg8 0.9879 0.1573 0.6804


3.
Starting from DFT lattice parameters and positions (GGA-PBE), the XRD peak list of Na5Hg4 was computed for Cu Kα (λ = 1.5418 Å).
No peak broadening, texture or thermal motion is included.

Peak list (8 most intense, 2θ from 10° to 90°, in order of rising 2θ)
- d 4.176, 21.28 deg, rel. 100
- d 3.769, 23.61 deg, rel. 32
- d 3.696, 24.08 deg, rel. 25
- d 2.928, 30.53 deg, rel. 33
- d 2.648, 33.85 deg, rel. 49
- d 2.367, 38.02 deg, rel. 42
- d 2.306, 39.06 deg, rel. 22
- d 1.966, 46.18 deg, rel. 22

Cell and atoms:
Lattice parameters (Å, degrees): 6.0667 6.0667 11.3702 116.14 116.14 44.68
Element x y z (fractional)
Na1 0.0000 0.0000 0.0000
Na2 0.1068 0.1068 0.4088
Na3 0.2468 0.2468 0.8484
Na4 0.7532 0.7532 0.1516
Na5 0.8932 0.8932 0.5912
Hg1 0.3674 0.3674 0.3712
Hg2 0.4696 0.4696 0.1707
Hg3 0.5304 0.5304 0.8293
Hg4 0.6326 0.6326 0.6288


4.
Starting from DFT lattice parameters and positions (GGA-PBE), the XRD peak list of Na7Hg was computed for Cu Kα (λ = 1.5418 Å).
No peak broadening, texture or thermal motion is included.

Peak list (8 most intense, 2θ from 10° to 90°, in order of rising 2θ)
- d 4.857, 18.27 deg, rel. 42
- d 4.653, 19.08 deg, rel. 49
- d 4.029, 22.06 deg, rel. 27
- d 3.698, 24.06 deg, rel. 18
- d 2.849, 31.40 deg, rel. 100
- d 2.723, 32.89 deg, rel. 22
- d 2.430, 37.00 deg, rel. 29
- d 1.645, 55.90 deg, rel. 36

Cell and atoms:
Lattice parameters (Å, degrees): 9.8789 9.8789 9.8789 33.51 33.51 33.51
Element x y z (fractional)
Na1 0.0000 0.0000 0.0000
Na2 0.1314 0.1314 0.1314
Na3 0.2505 0.2505 0.2505
Na4 0.3823 0.3823 0.3823
Na5 0.6177 0.6177 0.6177
Na6 0.7495 0.7495 0.7495
Na7 0.8686 0.8686 0.8686
Hg1 0.5000 0.5000 0.5000


What did the first record say?
Starting from DFT lattice parameters and positions (GGA-PBE), the XRD peak list of Na8Hg3 was computed for Cu Kα (λ = 1.5418 Å).
No peak broadening, texture or thermal motion is included.

Peak list (8 most intense, 2θ from 10° to 90°, in order of rising 2θ)
- d 4.474, 19.84 deg, rel. 45
- d 4.367, 20.33 deg, rel. 35
- d 4.090, 21.73 deg, rel. 100
- d 3.623, 24.57 deg, rel. 22
- d 2.788, 32.10 deg, rel. 34
- d 2.672, 33.53 deg, rel. 60
- d 2.464, 36.47 deg, rel. 28
- d 2.279, 39.54 deg, rel. 42

Cell and atoms:
Lattice parameters (Å, degrees): 18.2631 18.2631 18.2631 29.36 29.36 29.36
Element x y z (fractional)
Na1 0.0143 0.2913 0.6401
Na2 0.0618 0.0618 0.0618
Na3 0.1213 0.3633 0.8589
Na4 0.1367 0.3787 0.6411
Na5 0.1401 0.7913 0.5143
Na6 0.1411 0.8787 0.6367
Na7 0.2087 0.4857 0.8599
Na8 0.2199 0.2199 0.2199
Na9 0.2801 0.2801 0.2801
Na10 0.2913 0.6401 0.0143
Na11 0.3589 0.8633 0.6213
Na12 0.3599 0.9857 0.7087
Na13 0.3633 0.8589 0.1213
Na14 0.3787 0.6411 0.1367
Na15 0.4382 0.4382 0.4382
Na16 0.4857 0.8599 0.2087
Na17 0.5143 0.1401 0.7913
Na18 0.5618 0.5618 0.5618
Na19 0.6213 0.3589 0.8633
Na20 0.6367 0.1411 0.8787
Na21 0.6401 0.0143 0.2913
Na22 0.6411 0.1367 0.3787
Na23 0.7087 0.3599 0.9857
Na24 0.7199 0.7199 0.7199
Na25 0.7801 0.7801 0.7801
Na26 0.7913 0.5143 0.1401
Na27 0.8589 0.1213 0.3633
Na28 0.8599 0.2087 0.4857
Na29 0.8633 0.6213 0.3589
Na30 0.8787 0.6367 0.1411
Na31 0.9382 0.9382 0.9382
Na32 0.9857 0.7087 0.3599
Hg1 0.0000 0.0000 0.0000
Hg2 0.0658 0.7500 0.4342
Hg3 0.1581 0.1581 0.1581
Hg4 0.2500 0.5658 0.9342
Hg5 0.3419 0.3419 0.3419
Hg6 0.4342 0.0658 0.7500
Hg7 0.5000 0.5000 0.5000
Hg8 0.5658 0.9342 0.2500
Hg9 0.6581 0.6581 0.6581
Hg10 0.7500 0.4342 0.0658
Hg11 0.8419 0.8419 0.8419
Hg12 0.9342 0.2500 0.5658